1.
ZrMn9Nb2: theoretical powder diffractogram (Cu Kα, 1.54184 Å), based on a crystal structure in Alexandria, relaxed with PBE.

Structure:
a b c (Å): 4.7933 4.7933 23.7196
angles (deg): 90.00 90.00 120.00
Space group R-3m (No. 166, hexagonal axes)
Inequivalent atoms, fractional coordinates:
Zr (0.0000, 0.0000, 0.0000) x3
Mn (0.0000, 0.0000, 0.3384) x6
Mn (0.0000, 0.0000, 0.5000) x3
Mn (0.0112, 0.5056, 0.9159) x18
Nb (0.0000, 0.0000, 0.1409) x6

Principal peaks in the range 2θ = 15–90°, by angle:
| 2theta | I_rel | h k l |
| --- | --- | --- |
| 34.16 | 263 | 1 0 7 |
| 37.27 | 368 | 0 1 8 |
| 37.53 | 415 | 1 1 0 |
| 43.78 | 340 | 0 2 1 |
| 44.19 | 1000 | 1 1 6 |
| 45.91 | 173 | 0 0 12 |
| 46.35 | 135 | 0 2 4 |
| 47.84 | 206 | 2 0 5 |
| 72.35 | 211 | 0 3 6 |
| 80.08 | 207 | 2 2 0 |

***

2.
ErGa4Au2: theoretical powder diffractogram (Cu Kα, 1.54184 Å), based on a crystal structure in Alexandria, relaxed with PBE.

Structure:
a b c (Å): 17.228 4.387 7.014
angles (deg): 90.00 90.00 90.00
Space group Pnma (No. 62)
Inequivalent atoms, fractional coordinates:
Er (0.143, 0.250, 0.025) x4
Ga (0.040, 0.750, 0.863) x4
Ga (0.063, 0.250, 0.464) x4
Ga (0.182, 0.750, 0.335) x4
Ga (0.187, 0.750, 0.743) x4
Au (0.032, 0.750, 0.242) x4
Au (0.216, 0.250, 0.545) x4

Principal peaks in the range 2θ = 15–90°, by angle:
| 2theta | I_rel | h k l |
| --- | --- | --- |
| 27.46 | 308 | 2 0 2 |
| 34.35 | 1000 | 2 1 2 |
| 35.52 | 740 | 5 1 1 |
| 38.78 | 344 | 7 0 1 |
| 41.15 | 596 | 0 2 0 |
| 45.19 | 435 | 2 1 3 |
| 45.78 | 293 | 6 1 2 |
| 57.82 | 215 | 7 2 1 |
| 68.79 | 189 | 12 1 0 |
| 70.63 | 224 | 4 0 5 |

***

3.
Ti4Mo3Pt: theoretical powder diffractogram (Cu Kα, 1.54184 Å), based on a crystal structure in Alexandria, relaxed with PBE.

Structure:
a b c (Å): 3.180 4.502 8.796
angles (deg): 90.00 90.00 90.00
Space group Pmmm (No. 47)
Inequivalent atoms, fractional coordinates:
Ti (0.000, 0.000, 0.000) x1
Ti (0.000, 0.000, 0.500) x1
Ti (0.000, 0.500, 0.247) x2
Mo (0.500, 0.000, 0.252) x2
Mo (0.500, 0.500, 0.000) x1
Pt (0.500, 0.500, 0.500) x1

Principal peaks in the range 2θ = 15–90°, by angle:
| 2theta | I_rel | h k l |
| --- | --- | --- |
| 28.06 | 126 | 1 0 0 |
| 28.37 | 246 | 0 1 2 |
| 40.06 | 255 | 0 2 0 |
| 40.33 | 1000 | 1 1 2 |
| 41.05 | 237 | 0 0 4 |
| 58.70 | 159 | 0 2 4 |
| 72.84 | 83 | 2 2 0 |
| 72.96 | 164 | 1 3 2 |
| 74.30 | 156 | 1 1 6 |
| 87.18 | 105 | 2 2 4 |

***

4.
LiAg2Hg3: theoretical powder diffractogram (Cu Kα, 1.54184 Å), based on a crystal structure in Alexandria, relaxed with PBE.

Structure:
a b c (Å): 4.560 13.677 7.643
angles (deg): 90.00 90.00 90.00
Space group Cmmm (No. 65)
Inequivalent atoms, fractional coordinates:
Li (0.000, 0.159, 0.000) x4
Ag (0.000, 0.167, 0.500) x4
Ag (0.000, 0.500, 0.000) x2
Ag (0.000, 0.500, 0.500) x2
Hg (0.000, 0.000, 0.247) x4
Hg (0.000, 0.329, 0.235) x8

Principal peaks in the range 2θ = 15–90°, by angle:
| 2theta | I_rel | h k l |
| --- | --- | --- |
| 23.28 | 147 | 0 0 2 |
| 27.67 | 201 | 1 3 0 |
| 36.46 | 1000 | 1 3 2 |
| 39.53 | 406 | 2 0 0 |
| 46.38 | 102 | 2 0 2 |
| 47.59 | 112 | 0 0 4 |
| 57.14 | 137 | 2 6 0 |
| 63.53 | 187 | 2 0 4 |
| 69.71 | 297 | 3 3 2 |
| 77.46 | 106 | 2 6 4 |

***

5.
Sm3FeSi3: theoretical powder diffractogram (Cu Kα, 1.54184 Å), based on a crystal structure in Alexandria, relaxed with PBE.

Structure:
a b c (Å): 10.868 4.224 13.763
angles (deg): 90.00 111.77 90.00
Space group C2/m (No. 12)
Inequivalent atoms, fractional coordinates:
Sm (0.024, 0.000, 0.380) x4
Sm (0.101, 0.000, 0.919) x4
Sm (0.249, 0.500, 0.770) x4
Fe (0.245, 0.500, 0.417) x4
Si (0.062, 0.500, 0.244) x4
Si (0.109, 0.500, 0.076) x4
Si (0.154, 0.500, 0.545) x4

Principal peaks in the range 2θ = 15–90°, by angle:
| 2theta | I_rel | h k l |
| --- | --- | --- |
| 22.83 | 775 | 1 1 0 |
| 26.25 | 393 | 2 0 2 |
| 26.93 | 659 | 2 0 -4 |
| 32.69 | 826 | 3 1 -1 |
| 32.84 | 616 | 3 1 -2 |
| 32.98 | 436 | 4 0 -2 |
| 33.31 | 921 | 1 1 3 |
| 33.62 | 1000 | 1 1 -4 |
| 40.69 | 416 | 3 1 2 |
| 42.82 | 593 | 0 2 0 |

***

6.
CeBeTlO4: theoretical powder diffractogram (Cu Kα, 1.54184 Å), based on a crystal structure in Alexandria, relaxed with PBE.

Structure:
a b c (Å): 5.463 5.391 6.854
angles (deg): 90.00 107.02 90.00
Space group P2_1/m (No. 11)
Inequivalent atoms, fractional coordinates:
Ce (0.234, 0.250, 0.053) x2
Be (0.220, 0.750, 0.813) x2
Tl (0.302, 0.250, 0.579) x2
O (0.033, 0.515, 0.797) x4
O (0.416, 0.750, 0.671) x2
O (0.421, 0.750, 0.058) x2

Principal peaks in the range 2θ = 15–90°, by angle:
| 2theta | I_rel | h k l |
| --- | --- | --- |
| 23.72 | 1000 | 1 1 0 |
| 24.72 | 142 | 1 0 1 |
| 27.22 | 139 | 0 0 2 |
| 31.96 | 280 | 0 1 2 |
| 32.28 | 282 | 1 1 -2 |
| 33.24 | 279 | 0 2 0 |
| 36.38 | 167 | 1 0 2 |
| 37.22 | 185 | 2 0 -2 |
| 43.72 | 138 | 1 2 -2 |
| 48.54 | 157 | 2 2 0 |

***

7.
Be5Pd4Au: theoretical powder diffractogram (Cu Kα, 1.54184 Å), based on a crystal structure in Alexandria, relaxed with PBE.

Structure:
a b c (Å): 2.838 2.838 14.559
angles (deg): 90.00 90.00 90.00
Space group P4/mmm (No. 123)
Inequivalent atoms, fractional coordinates:
Be (0.000, 0.000, 0.000) x1
Be (0.000, 0.000, 0.196) x2
Be (0.000, 0.000, 0.388) x2
Pd (0.500, 0.500, 0.097) x2
Pd (0.500, 0.500, 0.293) x2
Au (0.500, 0.500, 0.500) x1

Principal peaks in the range 2θ = 15–90°, by angle:
| 2theta | I_rel | h k l |
| --- | --- | --- |
| 30.70 | 526 | 0 0 5 |
| 31.53 | 1000 | 1 0 0 |
| 44.58 | 907 | 1 0 5 |
| 45.18 | 446 | 1 1 0 |
| 55.62 | 393 | 1 1 5 |
| 73.04 | 164 | 1 0 10 |
| 74.37 | 164 | 2 0 5 |
| 74.81 | 164 | 2 1 0 |
| 81.72 | 145 | 1 1 10 |
| 83.00 | 298 | 2 1 5 |

***

8.
Ac3Mg2Hg3: theoretical powder diffractogram (Cu Kα, 1.54184 Å), based on a crystal structure in Alexandria, relaxed with PBE.

Structure:
a b c (Å): 4.006 5.696 21.883
angles (deg): 90.00 90.00 90.00
Space group Immm (No. 71)
Inequivalent atoms, fractional coordinates:
Ac (0.000, 0.000, 0.000) x2
Ac (0.000, 0.500, 0.130) x4
Mg (0.000, 0.000, 0.234) x4
Hg (0.000, 0.000, 0.500) x2
Hg (0.000, 0.500, 0.367) x4

Principal peaks in the range 2θ = 15–90°, by angle:
| 2theta | I_rel | h k l |
| --- | --- | --- |
| 24.41 | 95 | 0 0 6 |
| 28.44 | 150 | 1 1 2 |
| 31.41 | 265 | 0 2 0 |
| 31.84 | 1000 | 1 1 4 |
| 32.74 | 217 | 0 0 8 |
| 45.28 | 99 | 2 0 0 |
| 46.01 | 182 | 0 2 8 |
| 56.17 | 311 | 2 2 0 |
| 57.87 | 157 | 1 1 12 |
| 66.53 | 117 | 2 2 8 |

***

9.
Cs2PIrPt: theoretical powder diffractogram (Cu Kα, 1.54184 Å), based on a crystal structure in Alexandria, relaxed with PBE.

Structure:
a b c (Å): 7.048 7.048 4.334
angles (deg): 90.00 90.00 90.00
Space group P4/mmm (No. 123)
Inequivalent atoms, fractional coordinates:
Cs (0.000, 0.500, 0.000) x2
P (0.000, 0.000, 0.000) x1
Ir (0.500, 0.500, 0.500) x1
Pt (0.000, 0.000, 0.500) x1

Principal peaks in the range 2θ = 15–90°, by angle:
| 2theta | I_rel | h k l |
| --- | --- | --- |
| 25.27 | 740 | 2 0 0 |
| 27.27 | 1000 | 1 1 1 |
| 36.04 | 292 | 2 2 0 |
| 45.78 | 495 | 3 1 1 |
| 49.37 | 239 | 2 0 2 |
| 56.26 | 162 | 2 2 2 |
| 58.57 | 144 | 4 2 0 |
| 59.60 | 114 | 3 3 1 |
| 71.66 | 137 | 5 1 1 |
| 74.43 | 143 | 4 2 2 |

***

10.
Cu2BSe4: theoretical powder diffractogram (Cu Kα, 1.54184 Å), based on a crystal structure in Alexandria, relaxed with PBE.

Structure:
a b c (Å): 5.244 5.244 10.349
angles (deg): 90.00 90.00 90.00
Space group I-42m (No. 121)
Inequivalent atoms, fractional coordinates:
Cu (0.000, 0.500, 0.250) x4
B (0.000, 0.000, 0.000) x2
Se (0.235, 0.235, 0.107) x8

Principal peaks in the range 2θ = 15–90°, by angle:
| 2theta | I_rel | h k l |
| --- | --- | --- |
| 24.00 | 117 | 1 1 0 |
| 29.64 | 1000 | 1 1 2 |
| 34.20 | 80 | 2 0 0 |
| 38.49 | 170 | 2 0 2 |
| 42.61 | 116 | 1 1 4 |
| 49.14 | 209 | 2 2 0 |
| 49.49 | 362 | 2 0 4 |
| 58.44 | 260 | 3 1 2 |
| 59.07 | 93 | 1 1 6 |
| 80.32 | 74 | 3 1 6 |

***

11.
Pr3Cd2Pt: theoretical powder diffractogram (Cu Kα, 1.54184 Å), based on a crystal structure in Alexandria, relaxed with PBE.

Structure:
a b c (Å): 5.580 16.577 3.876
angles (deg): 90.00 90.00 90.00
Space group Cmmm (No. 65)
Inequivalent atoms, fractional coordinates:
Pr (0.000, 0.000, 0.000) x2
Pr (0.000, 0.362, 0.500) x4
Cd (0.000, 0.197, 0.000) x4
Pt (0.000, 0.500, 0.000) x2

Principal peaks in the range 2θ = 15–90°, by angle:
| 2theta | I_rel | h k l |
| --- | --- | --- |
| 16.76 | 194 | 1 1 0 |
| 28.55 | 197 | 1 1 1 |
| 31.60 | 737 | 0 4 1 |
| 32.08 | 588 | 2 0 0 |
| 32.44 | 1000 | 0 6 0 |
| 41.40 | 264 | 1 7 0 |
| 45.65 | 534 | 2 4 1 |
| 46.88 | 204 | 0 0 2 |
| 57.93 | 215 | 2 0 2 |
| 70.39 | 204 | 2 10 1 |

***

12.
Hf6TlBi: theoretical powder diffractogram (Cu Kα, 1.54184 Å), based on a crystal structure in Alexandria, relaxed with PBE.

Structure:
a b c (Å): 5.632 5.634 5.637
angles (deg): 89.98 89.90 89.71
Space group P-1 (No. 2)
Inequivalent atoms, fractional coordinates:
Hf (0.000, 0.000, 0.248) x2
Hf (0.248, 0.500, 0.499) x2
Hf (0.497, 0.748, 0.000) x2
Tl (0.000, 0.500, 0.000) x1
Bi (0.500, 0.000, 0.500) x1

Principal peaks in the range 2θ = 15–90°, by angle:
| 2theta | I_rel | h k l |
| --- | --- | --- |
| 31.76 | 525 | 2 0 0 |
| 35.61 | 1000 | 1 0 -2 |
| 35.70 | 335 | 2 -1 0 |
| 39.12 | 710 | 2 1 -1 |
| 39.23 | 493 | -1 2 1 |
| 59.13 | 157 | 0 2 3 |
| 61.47 | 217 | 2 1 3 |
| 61.59 | 215 | 2 1 -3 |
| 61.70 | 165 | 3 -2 1 |
| 66.37 | 241 | 4 0 0 |

***

13.
NdY4Tl: theoretical powder diffractogram (Cu Kα, 1.54184 Å), based on a crystal structure in Alexandria, relaxed with PBE.

Structure:
a b c (Å): 12.030 5.426 6.915
angles (deg): 90.00 122.69 90.00
Space group C2/m (No. 12)
Inequivalent atoms, fractional coordinates:
Nd (0.000, 0.000, 0.000) x2
Y (0.146, 0.500, 0.795) x4
Y (0.198, 0.500, 0.331) x4
Tl (0.000, 0.000, 0.500) x2

Principal peaks in the range 2θ = 15–90°, by angle:
| 2theta | I_rel | h k l |
| --- | --- | --- |
| 18.55 | 224 | 1 1 0 |
| 31.21 | 953 | 3 1 0 |
| 31.66 | 1000 | 1 1 -2 |
| 31.96 | 431 | 4 0 -2 |
| 33.02 | 467 | 0 2 0 |
| 43.44 | 182 | 2 0 2 |
| 46.62 | 299 | 4 2 -2 |
| 56.23 | 176 | 7 1 -2 |
| 57.04 | 176 | 5 1 -4 |
| 57.84 | 177 | 3 3 0 |